# ZnCu2
Simulated X-ray diffraction stick pattern, CuKα. Input: a structure optimized by DFT (GGA-PBE).
No peak broadening, texture or thermal motion is included.

Structural model:
a = 9.5880 Å, b = 2.6785 Å, c = 6.1448 Å
α = 90.00°, β = 105.80°, γ = 90.00°
Space group Cm (No. 8)
Inequivalent atoms, fractional coordinates:
Zn1 0.0000 0.0000 0.0000 (multiplicity 2)
Zn2 0.1738 0.5000 0.3461 (multiplicity 2)
Cu1 0.1211 0.5000 0.7389 (multiplicity 2)
Cu2 0.2856 0.0000 0.0723 (multiplicity 2)
Cu3 0.3379 0.0000 0.6734 (multiplicity 2)
Cu4 0.4546 0.5000 0.4069 (multiplicity 2)

The 8 most intense peaks (2θ from 5° to 70°), by angle:
2θ = 39.24°, d = 2.296 Å, rel. 19.5, (1 1 1); 2θ = 40.48°, d = 2.229 Å, rel. 14.7, (2 0 2); 2θ = 42.65°, d = 2.120 Å, rel. 36.9, (4 0 -2); 2θ = 44.90°, d = 2.019 Å, rel. 100.0, (3 1 0); 2θ = 46.01°, d = 1.973 Å, rel. 38.3, (0 0 3); 2θ = 59.34°, d = 1.557 Å, rel. 10.8, (3 1 -3); 2θ = 60.18°, d = 1.538 Å, rel. 4.2, (6 0 0); 2θ = 60.33°, d = 1.534 Å, rel. 4.2, (2 0 -4)

# ZnCu
Simulated X-ray diffraction stick pattern, CuKα. Input: a structure optimized by DFT (GGA-PBE).
No peak broadening, texture or thermal motion is included.

Structural model:
a = 4.7068 Å, b = 4.2809 Å, c = 5.1815 Å
α = 90.00°, β = 90.00°, γ = 90.00°
Space group Pnma (No. 62)
Inequivalent atoms, fractional coordinates:
Zn1 0.0985 0.2500 0.1240 (multiplicity 4)
Cu1 0.0892 0.2500 0.6260 (multiplicity 4)

The 7 most intense peaks (2θ from 5° to 70°), by angle:
2θ = 38.24°, d = 2.353 Å, rel. 8.6, (2 0 0); 2θ = 39.71°, d = 2.270 Å, rel. 33.0, (1 0 2); 2θ = 42.22°, d = 2.140 Å, rel. 44.6, (0 2 0); 2θ = 43.90°, d = 2.062 Å, rel. 67.6, (2 1 0); 2θ = 45.22°, d = 2.005 Å, rel. 100.0, (1 1 2); 2θ = 58.27°, d = 1.583 Å, rel. 4.7, (2 2 0); 2θ = 59.35°, d = 1.557 Å, rel. 18.9, (1 2 2)

# Zn5Cu24
Simulated X-ray diffraction stick pattern, CuKα. Input: a structure optimized by DFT (GGA-PBE).
No peak broadening, texture or thermal motion is included.

Structural model:
a = 8.9945 Å, b = 8.9945 Å, c = 8.9945 Å
α = 90.00°, β = 90.00°, γ = 90.00°
Space group I-43m (No. 217)
Inequivalent atoms, fractional coordinates:
Zn1 0.0000 0.0000 0.0000 (multiplicity 2)
Zn2 0.1785 0.1785 0.8215 (multiplicity 8)
Cu1 0.0478 0.3630 0.3630 (multiplicity 24)
Cu2 0.0941 0.0941 0.2852 (multiplicity 24)

The 10 most intense peaks (2θ from 5° to 70°), by angle:
2θ = 37.41°, d = 2.404 Å, rel. 2.9, (3 2 1); 2θ = 40.10°, d = 2.249 Å, rel. 10.6, (4 0 0); 2θ = 42.65°, d = 2.120 Å, rel. 100.0, (4 1 1); 2θ = 47.41°, d = 1.918 Å, rel. 30.6, (3 3 2); 2θ = 49.66°, d = 1.836 Å, rel. 11.0, (4 2 2); 2θ = 51.83°, d = 1.764 Å, rel. 15.3, (4 3 1); 2θ = 59.97°, d = 1.543 Å, rel. 0.7, (4 3 3); 2θ = 63.79°, d = 1.459 Å, rel. 1.6, (5 3 2); 2θ = 67.49°, d = 1.388 Å, rel. 1.9, (5 4 1); 2θ = 69.30°, d = 1.356 Å, rel. 2.7, (6 2 2)

# ZnCu2
Simulated X-ray diffraction stick pattern, CuKα. Input: a structure optimized by DFT (GGA-PBE).
No peak broadening, texture or thermal motion is included.

Structural model:
a = 2.6775 Å, b = 2.6775 Å, c = 10.6012 Å
α = 90.00°, β = 90.00°, γ = 90.00°
Space group I4/mmm (No. 139)
Inequivalent atoms, fractional coordinates:
Zn1 0.0000 0.0000 0.0000 (multiplicity 2)
Cu1 0.0000 0.0000 0.3310 (multiplicity 4)

The 3 most intense peaks (2θ from 5° to 70°), by angle:
2θ = 42.35°, d = 2.134 Å, rel. 100.0, (1 0 3); 2θ = 48.06°, d = 1.893 Å, rel. 34.0, (1 1 0); 2θ = 51.74°, d = 1.767 Å, rel. 13.4, (0 0 6)